# NdCu4Ge2
Computed powder X-ray diffraction pattern, Cu Kα, 1.54184 Å. Input: a DFT-relaxed cell (GGA-PBE, Alexandria).

Atomic structure:
```
NdCu4Ge2
1.0
7.516 0.000 0.000
0.000 7.516 0.000
0.000 0.000 3.986
Nd Cu Ge
2 8 4
Cartesian
0.000 0.000 0.000
3.758 3.758 1.993
0.659 2.611 1.993
1.147 4.417 0.000
2.611 0.659 1.993
3.099 6.369 0.000
4.417 1.147 0.000
4.905 6.857 1.993
6.369 3.099 0.000
6.857 4.905 1.993
1.632 5.884 1.993
2.126 2.126 0.000
5.390 5.390 0.000
5.884 1.632 1.993
```

Peak list (12 most intense, 2θ = 10–90°, in order of rising 2θ)
h k l	two_theta	d/Å	Rel. int.
2 2 0	33.7	2.657	23
2 1 1	34.9	2.569	100
3 1 0	37.9	2.377	39
2 2 1	40.8	2.211	34
3 1 1	44.4	2.041	52
0 0 2	45.5	1.993	31
4 1 0	50.0	1.823	17
4 1 1	55.4	1.658	12
3 1 2	60.6	1.527	19
4 3 1	66.5	1.406	21
4 1 2	69.9	1.345	12
2 1 3	77.2	1.236	11